# Sm5Cd2Tc
Theoretical powder diffraction line list, CuKα. Input: DFT lattice parameters and positions (PBE).

Structure:
Cell lengths 6.7570, 12.5488, 5.2371 Å; angles 90.00, 90.00, 90.00 degrees
Sites, in units of the cell vectors:
Sm 0.0000 0.0000 0.0000
Sm 0.1254 0.2877 0.0000
Sm 0.1582 0.5997 0.5000
Sm 0.3418 0.0997 0.5000
Sm 0.3746 0.7877 0.0000
Sm 0.5000 0.5000 0.0000
Sm 0.6254 0.2123 0.0000
Sm 0.6582 0.9003 0.5000
Sm 0.8418 0.4003 0.5000
Sm 0.8746 0.7123 0.0000
Cd 0.1264 0.8577 0.5000
Cd 0.3736 0.3577 0.5000
Cd 0.6264 0.6423 0.5000
Cd 0.8736 0.1423 0.5000
Tc 0.0000 0.5000 0.0000
Tc 0.5000 0.0000 0.0000

Principal peaks in the range 10 to 90 degrees two-theta, most intense first:
2θ (°)	d/Å	Rel. int.
32.33	2.769	100
33.29	2.691	89
34.24	2.619	63
31.47	2.842	39
34.11	2.628	38
49.11	1.855	29
30.38	2.942	23
57.75	1.596	18
34.68	2.587	17
60.11	1.539	17

# Sm4CdTc
Theoretical powder diffraction line list, CuKα. Input: DFT lattice parameters and positions (PBE).

Structure:
Cell lengths 7.8781, 7.8781, 6.3641 Å; angles 99.59, 99.59, 111.76 degrees
Sites, in units of the cell vectors:
Sm 0.0626 0.7251 0.9540
Sm 0.2018 0.3639 0.6069
Sm 0.2749 0.9374 0.5460
Sm 0.3639 0.2018 0.1069
Sm 0.6361 0.7982 0.8931
Sm 0.7251 0.0626 0.4540
Sm 0.7982 0.6361 0.3931
Sm 0.9374 0.2749 0.0460
Cd 0.3758 0.6242 0.2500
Cd 0.6242 0.3758 0.7500
Tc 0.9997 0.0003 0.2500
Tc 0.0003 0.9997 0.7500

Principal peaks in the range 10 to 90 degrees two-theta, most intense first:
2θ (°)	d/Å	Rel. int.
32.27	2.774	100
28.97	3.082	79
31.58	2.833	70
34.98	2.565	62
37.23	2.415	32
36.04	2.492	28
33.73	2.657	24
62.40	1.488	24
54.51	1.683	23
47.02	1.933	21